This entry pairs a crystal structure of Li5Mn3O8 with its simulated powder diffractogram. Radiation: Cu Ka. Structure: a structure optimized by DFT (GGA+U).
No peak broadening, texture or thermal motion is included.

Most intense lines, 2θ from 10° to 90°, in order of rising 2θ:
2theta  intensity
17.36  14
18.01  11
18.28  100
35.13  15
35.90  22
43.04  32
43.34  63
57.08  16
61.76  8
62.35  17
63.10  18
64.13  8

Cell and atoms:
```
data_Li5Mn3O8
_cell_length_a 5.204
_cell_length_b 2.904
_cell_length_c 9.886
_cell_angle_alpha 90.00
_cell_angle_beta 100.98
_cell_angle_gamma 90.00
_space_group_name_H-M_alt 'P 1 2/m 1'
_space_group_IT_number 10
_space_group_name_Hall '-P 2y'
loop_
_atom_site_label
_atom_site_type_symbol
_atom_site_fract_x
_atom_site_fract_y
_atom_site_fract_z
Li1 Li 0.000 0.000 0.000
Li2 Li 0.226 0.500 0.224
Li3 Li 0.262 0.000 0.769
Mn1 Mn 0.000 0.500 0.500
Mn2 Mn 0.500 0.000 0.500
Mn3 Mn 0.500 0.500 0.000
O1 O 0.120 0.000 0.392
O2 O 0.158 0.500 0.882
O3 O 0.386 0.000 0.110
O4 O 0.406 0.500 0.615
```